This entry pairs a crystal structure of Pm9Dy4Pu with its simulated PXRD pattern. Radiation: copper Kα. Structure: the PBE geometry in Alexandria.
Lines closer than 0.1° are merged.

Most intense lines, 5° ≤ 2θ ≤ 70°, in order of rising 2θ:
d = 2.812 Å, I 23; d = 2.799 Å, I 100; d = 2.760 Å, I 29; d = 1.761 Å, I 18; d = 1.635 Å, I 15; d = 1.419 Å, I 18

Atomic structure:
```
Pm9Dy4Pu
1.0
9.8661 0.0000 0.0000
-4.9331 8.5443 0.0000
0.0000 0.0000 11.2074
Pm Dy Pu
18 8 2
Direct
0.0724 0.5362 0.2500
0.2090 0.4179 0.5354
0.2090 0.4179 0.9646
0.2090 0.7910 0.5354
0.2090 0.7910 0.9646
0.4179 0.2090 0.0354
0.4179 0.2090 0.4646
0.4638 0.5362 0.2500
0.4638 0.9276 0.2500
0.5362 0.0724 0.7500
0.5362 0.4638 0.7500
0.5821 0.7910 0.5354
0.5821 0.7910 0.9646
0.7910 0.2090 0.0354
0.7910 0.2090 0.4646
0.7910 0.5821 0.0354
0.7910 0.5821 0.4646
0.9276 0.4638 0.7500
0.0000 0.0000 0.0000
0.0000 0.0000 0.5000
0.1116 0.2232 0.2500
0.1116 0.8884 0.2500
0.2232 0.1116 0.7500
0.7768 0.8884 0.2500
0.8884 0.1116 0.7500
0.8884 0.7768 0.7500
0.3333 0.6667 0.7500
0.6667 0.3333 0.2500
```


This entry pairs a crystal structure of Ac2Re3O10 with its simulated PXRD pattern. Radiation: copper Kα. Structure: the PBE geometry in Alexandria.
Lines closer than 0.1° are merged.

Most intense lines, 5° ≤ 2θ ≤ 70°, in order of rising 2θ:
d = 3.177 Å, I 56; d = 3.163 Å, I 100; d = 3.137 Å, I 96; d = 3.047 Å, I 84; d = 2.904 Å, I 39; d = 2.102 Å, I 37

Atomic structure:
```
Ac2Re3O10
1.0
9.1414 -2.9034 0.0000
9.1414 2.9034 0.0000
-2.9591 0.0000 7.1323
Ac Re O
4 6 20
Direct
0.1149 0.1149 0.2155
0.2090 0.2090 0.8348
0.7910 0.7910 0.1652
0.8851 0.8851 0.7845
0.2136 0.7864 0.5000
0.3189 0.3189 0.4817
0.4316 0.4316 0.0224
0.5684 0.5684 0.9776
0.6811 0.6811 0.5183
0.7864 0.2136 0.5000
0.0000 0.5000 0.5000
0.0240 0.0240 0.7156
0.1182 0.5837 0.0132
0.1281 0.6474 0.4679
0.2346 0.7654 0.0000
0.2659 0.2659 0.2195
0.3526 0.8719 0.5321
0.3788 0.3788 0.7526
0.4163 0.8818 0.9868
0.4779 0.4779 0.3105
0.5000 0.0000 0.5000
0.5221 0.5221 0.6895
0.5837 0.1182 0.0132
0.6212 0.6212 0.2474
0.6474 0.1281 0.4679
0.7341 0.7341 0.7805
0.7654 0.2346 0.0000
0.8719 0.3526 0.5321
0.8818 0.4163 0.9868
0.9760 0.9760 0.2844
```


This entry pairs a crystal structure of Na4B5C3 with its simulated PXRD pattern. Radiation: copper Kα. Structure: the PBE geometry in Alexandria.
Lines closer than 0.1° are merged.

Most intense lines, 5° ≤ 2θ ≤ 70°, in order of rising 2θ:
d = 2.529 Å, I 11; d = 2.456 Å, I 17; d = 2.176 Å, I 49; d = 2.135 Å, I 39; d = 2.129 Å, I 100; d = 1.446 Å, I 17

Atomic structure:
```
Na4B5C3
1.0
8.5395 0.0000 0.0000
0.0000 2.8100 0.0000
0.0000 0.0000 10.1140
Na B C
8 10 6
Direct
0.0000 0.0000 0.0000
0.0000 0.0000 0.5000
0.0021 0.5000 0.2474
0.4979 0.5000 0.2474
0.5000 0.0000 0.0000
0.5000 0.0000 0.5000
0.5021 0.5000 0.7526
0.9979 0.5000 0.7526
0.2500 0.0000 0.1535
0.2500 0.0000 0.3259
0.2500 0.0000 0.6733
0.2500 0.5000 0.4373
0.2500 0.5000 0.9124
0.7500 0.0000 0.3267
0.7500 0.0000 0.6741
0.7500 0.0000 0.8465
0.7500 0.5000 0.0876
0.7500 0.5000 0.5627
0.2500 0.0000 0.8325
0.2500 0.5000 0.0732
0.2500 0.5000 0.5917
0.7500 0.0000 0.1675
0.7500 0.5000 0.4083
0.7500 0.5000 0.9268
```


This entry pairs a crystal structure of Ac2ZrTl2S6 with its simulated PXRD pattern. Radiation: copper Kα. Structure: the PBE geometry in Alexandria.
Lines closer than 0.1° are merged.

Most intense lines, 5° ≤ 2θ ≤ 70°, in order of rising 2θ:
d = 3.721 Å, I 24; d = 3.514 Å, I 20; d = 3.453 Å, I 38; d = 3.058 Å, I 100; d = 2.209 Å, I 23; d = 2.120 Å, I 22

Atomic structure:
```
Ac2ZrTl2S6
1.0
3.6885 -6.2717 0.0000
3.6885 6.2717 0.0000
-2.3767 0.0000 7.4430
Ac Zr Tl S
2 1 2 6
Direct
0.1658 0.8342 0.0000
0.8342 0.1658 0.0000
0.5000 0.5000 0.0000
0.3354 0.6646 0.5000
0.6646 0.3354 0.5000
0.1372 0.4364 0.8036
0.2764 0.2764 0.2044
0.4364 0.1372 0.8036
0.5636 0.8628 0.1964
0.7236 0.7236 0.7956
0.8628 0.5636 0.1964
```


Q: Number 2 is which compound?
A: Ac2Re3O10